The following is a simulated PXRD pattern of Zr3Zn2B2. It was derived from a DFT-relaxed cell (PBE, OQMD), using Cu Kα (λ = 1.5418 Å).
Peak positions follow from Bragg's law for the DFT cell and can differ from measured ones.

Principal peaks in the range 2θ = 15–90°, by angle:
two_theta  intensity  hkl
24.15  43  0 0 6
25.13  48  0 1 2
28.83  19  1 0 4
31.34  33  0 1 5
40.62  91  0 1 8
41.81  100  1 1 0
48.88  19  1 1 6
56.79  16  1 1 9
59.74  40  2 0 8
75.56  33  1 2 8

Structure:
```
data_Zr3Zn2B2
_cell_length_a 4.3209
_cell_length_b 4.3209
_cell_length_c 22.0748
_cell_angle_alpha 90.00
_cell_angle_beta 90.00
_cell_angle_gamma 120.00
_symmetry_space_group_name_H-M 'R 3 m'
_symmetry_Int_Tables_number 160
_symmetry_space_group_name_Hall 'R 3 -2"'
loop_
_atom_site_label
_atom_site_type_symbol
_atom_site_fract_x
_atom_site_fract_y
_atom_site_fract_z
_atom_site_occupancy
Zr1 Zr 0.0000 0.0000 0.0000 1
Zr2 Zr 0.0000 0.0000 0.2366 1
Zr3 Zr 0.0000 0.0000 0.4766 1
Zn1 Zn 0.0000 0.0000 0.1137 1
Zn2 Zn 0.0000 0.0000 0.6204 1
B1 B 0.0000 0.0000 0.3554 1
B2 B 0.0000 0.0000 0.8689 1
```



The following is a simulated PXRD pattern of BaBeMo. It was derived from a DFT-relaxed cell (PBE, OQMD), using Cu Kα (λ = 1.5418 Å).
Peak positions follow from Bragg's law for the DFT cell and can differ from measured ones.

Principal peaks in the range 2θ = 15–90°, by angle:
two_theta  intensity  hkl
22.69  4  1 1 1
26.25  100  2 0 0
37.47  86  2 2 0
44.25  2  3 1 1
46.33  28  2 2 2
54.03  15  4 0 0
61.04  37  4 2 0
67.60  30  4 2 2
79.93  9  4 4 0
85.89  18  6 0 0

Structure:
```
data_BaBeMo
_cell_length_a 6.789
_cell_length_b 6.789
_cell_length_c 6.789
_cell_angle_alpha 90.00
_cell_angle_beta 90.00
_cell_angle_gamma 90.00
_symmetry_space_group_name_H-M 'F -4 3 m'
_symmetry_Int_Tables_number 216
_symmetry_space_group_name_Hall 'F -4 2 3'
loop_
_atom_site_label
_atom_site_type_symbol
_atom_site_fract_x
_atom_site_fract_y
_atom_site_fract_z
_atom_site_occupancy
Ba1 Ba 0.000 0.000 0.000 1
Be1 Be 0.250 0.250 0.250 1
Mo1 Mo 0.000 0.000 0.500 1
```



The following is a simulated PXRD pattern of CsKBaCdBi2. It was derived from a DFT-relaxed cell (PBE, OQMD), using Cu Kα (λ = 1.5418 Å).
Peak positions follow from Bragg's law for the DFT cell and can differ from measured ones.

Principal peaks in the range 2θ = 15–90°, by angle:
two_theta  intensity  hkl
18.67  27  1 1 0
20.12  31  0 0 2
25.52  53  1 2 1
26.39  38  0 3 1
27.58  100  1 1 2
29.74  68  1 3 0
31.05  45  1 2 2
31.48  28  0 1 3
34.00  53  2 0 0
35.89  27  1 1 3

Structure:
```
data_CsKBaCdBi2
_cell_length_a 5.274
_cell_length_b 10.963
_cell_length_c 8.828
_cell_angle_alpha 90.00
_cell_angle_beta 90.00
_cell_angle_gamma 90.00
_symmetry_space_group_name_H-M 'P m c 21'
_symmetry_Int_Tables_number 26
loop_
_symmetry_equiv_pos_as_xyz
'x,y,z'
'-x,-y,z+1/2'
'-x,y,z'
'x,-y,z+1/2'
loop_
_atom_site_label
_atom_site_type_symbol
_atom_site_fract_x
_atom_site_fract_y
_atom_site_fract_z
_atom_site_occupancy
Cs1 Cs 0.000 0.154 0.000 1
K1 K 0.500 0.115 0.337 1
Ba1 Ba 0.000 0.458 0.336 1
Cd1 Cd 0.500 0.334 0.678 1
Bi1 Bi 0.000 0.198 0.588 1
Bi2 Bi 0.500 0.396 0.049 1
```



The following is a simulated PXRD pattern of Ba3Cd2Bi2P2. It was derived from a DFT-relaxed cell (PBE, OQMD), using Cu Kα (λ = 1.5418 Å).
Peak positions follow from Bragg's law for the DFT cell and can differ from measured ones.

Principal peaks in the range 2θ = 15–90°, by angle:
two_theta  intensity  hkl
24.22  30  2 0 -2
24.53  38  3 1 -1
29.40  57  4 0 1
30.87  100  5 1 -1
31.07  54  1 1 -2
34.67  34  1 1 2
37.31  35  0 2 0
41.08  18  7 1 -2
48.19  30  4 2 1
60.64  22  8 2 -3

Structure:
```
data_Ba3Cd2Bi2P2
_cell_length_a 18.206
_cell_length_b 4.821
_cell_length_c 7.349
_cell_angle_alpha 90.00
_cell_angle_beta 113.68
_cell_angle_gamma 90.00
_symmetry_space_group_name_H-M 'C 1 2/m 1'
_symmetry_Int_Tables_number 12
loop_
_symmetry_equiv_pos_as_xyz
'x,y,z'
'-x,-y,-z'
'-x,y,-z'
'x,-y,z'
'x+1/2,y+1/2,z'
'-x+1/2,-y+1/2,-z'
'-x+1/2,y+1/2,-z'
'x+1/2,-y+1/2,z'
loop_
_atom_site_label
_atom_site_type_symbol
_atom_site_fract_x
_atom_site_fract_y
_atom_site_fract_z
_atom_site_occupancy
Ba1 Ba 0.000 0.000 0.000 1
Ba2 Ba 0.125 0.000 0.658 1
Cd1 Cd 0.162 0.500 0.359 1
Bi1 Bi 0.210 0.000 0.199 1
P1 P 0.007 0.500 0.353 1
```



The following is a simulated PXRD pattern of BaSrCdBiSb. It was derived from a DFT-relaxed cell (PBE, OQMD), using Cu Kα (λ = 1.5418 Å).
Peak positions follow from Bragg's law for the DFT cell and can differ from measured ones.

Principal peaks in the range 2θ = 15–90°, by angle:
two_theta  intensity  hkl
20.56  32  0 0 2
22.45  33  0 4 1
25.72  100  1 3 1
27.98  77  1 1 2
31.03  96  1 5 0
31.44  60  1 3 2
32.70  67  0 2 3
36.68  63  2 0 0
37.17  34  0 4 3
39.33  32  1 3 3

Structure:
```
data_BaSrCdBiSb
_cell_length_a 4.900
_cell_length_b 17.819
_cell_length_c 8.642
_cell_angle_alpha 90.00
_cell_angle_beta 90.00
_cell_angle_gamma 90.00
_symmetry_space_group_name_H-M 'C m c 21'
_symmetry_Int_Tables_number 36
loop_
_symmetry_equiv_pos_as_xyz
'x,y,z'
'-x,-y,z+1/2'
'-x,y,z'
'x,-y,z+1/2'
'x+1/2,y+1/2,z'
'-x+1/2,-y+1/2,z+1/2'
'-x+1/2,y+1/2,z'
'x+1/2,-y+1/2,z+1/2'
loop_
_atom_site_label
_atom_site_type_symbol
_atom_site_fract_x
_atom_site_fract_y
_atom_site_fract_z
_atom_site_occupancy
Ba1 Ba 0.000 0.035 0.000 1
Sr1 Sr 0.000 0.210 0.356 1
Cd1 Cd 0.000 0.407 0.157 1
Bi1 Bi 0.000 0.428 0.794 1
Sb1 Sb 0.000 0.176 0.731 1
```



The following is a simulated PXRD pattern of BaSrCdBiSb. It was derived from a DFT-relaxed cell (PBE, OQMD), using Cu Kα (λ = 1.5418 Å).
Peak positions follow from Bragg's law for the DFT cell and can differ from measured ones.

Principal peaks in the range 2θ = 15–90°, by angle:
two_theta  intensity  hkl
20.80  32  0 0 2
22.32  33  0 4 1
23.05  31  0 2 2
25.65  58  1 3 1
30.79  96  1 5 0
31.51  100  1 3 2
32.99  38  0 2 3
36.59  56  2 0 0
36.82  31  1 1 3
37.40  49  0 4 3

Structure:
```
data_BaSrCdBiSb
_cell_length_a 4.911
_cell_length_b 18.007
_cell_length_c 8.543
_cell_angle_alpha 90.00
_cell_angle_beta 90.00
_cell_angle_gamma 90.00
_symmetry_space_group_name_H-M 'C m c 21'
_symmetry_Int_Tables_number 36
loop_
_symmetry_equiv_pos_as_xyz
'x,y,z'
'-x,-y,z+1/2'
'-x,y,z'
'x,-y,z+1/2'
'x+1/2,y+1/2,z'
'-x+1/2,-y+1/2,z+1/2'
'-x+1/2,y+1/2,z'
'x+1/2,-y+1/2,z+1/2'
loop_
_atom_site_label
_atom_site_type_symbol
_atom_site_fract_x
_atom_site_fract_y
_atom_site_fract_z
_atom_site_occupancy
Ba1 Ba 0.000 0.034 0.000 1
Sr1 Sr 0.000 0.202 0.343 1
Cd1 Cd 0.000 0.409 0.154 1
Bi1 Bi 0.000 0.179 0.732 1
Sb1 Sb 0.000 0.432 0.796 1
```



The following is a simulated PXRD pattern of BaSrCd2Bi4. It was derived from a DFT-relaxed cell (PBE, OQMD), using Cu Kα (λ = 1.5418 Å).
Peak positions follow from Bragg's law for the DFT cell and can differ from measured ones.

Principal peaks in the range 2θ = 15–90°, by angle:
two_theta  intensity  hkl
21.92  16  1 0 3
26.84  17  1 0 5
27.58  15  1 1 2
30.71  100  1 1 4
37.78  40  2 0 0
39.80  16  1 0 9
41.10  14  1 1 8
54.49  14  2 2 0
56.04  12  2 1 9
63.87  30  3 1 4

Structure:
```
data_BaSrCd2Bi4
_cell_length_a 4.763
_cell_length_b 4.763
_cell_length_c 23.171
_cell_angle_alpha 90.00
_cell_angle_beta 90.00
_cell_angle_gamma 90.00
_symmetry_space_group_name_H-M 'I 4 m m'
_symmetry_Int_Tables_number 107
_symmetry_space_group_name_Hall 'I 4 -2'
loop_
_atom_site_label
_atom_site_type_symbol
_atom_site_fract_x
_atom_site_fract_y
_atom_site_fract_z
_atom_site_occupancy
Ba1 Ba 0.000 0.000 0.000 1
Sr1 Sr 0.000 0.000 0.765 1
Cd1 Cd 0.000 0.500 0.136 1
Bi1 Bi 0.000 0.000 0.222 1
Bi2 Bi 0.000 0.000 0.552 1
Bi3 Bi 0.000 0.500 0.378 1
```



The following is a simulated PXRD pattern of BaSrCdBi2. It was derived from a DFT-relaxed cell (PBE, OQMD), using Cu Kα (λ = 1.5418 Å).
Peak positions follow from Bragg's law for the DFT cell and can differ from measured ones.

Principal peaks in the range 2θ = 15–90°, by angle:
two_theta  intensity  hkl
20.66  43  0 0 2
21.14  34  1 1 1
22.21  47  0 4 1
25.36  64  1 3 1
27.82  43  1 1 2
30.51  100  1 5 0
31.20  79  1 3 2
32.77  35  0 2 3
35.95  58  2 0 0
37.13  60  0 4 3

Structure:
```
data_BaSrCdBi2
_cell_length_a 4.996
_cell_length_b 18.090
_cell_length_c 8.600
_cell_angle_alpha 90.00
_cell_angle_beta 90.00
_cell_angle_gamma 90.00
_symmetry_space_group_name_H-M 'C m c 21'
_symmetry_Int_Tables_number 36
loop_
_symmetry_equiv_pos_as_xyz
'x,y,z'
'-x,-y,z+1/2'
'-x,y,z'
'x,-y,z+1/2'
'x+1/2,y+1/2,z'
'-x+1/2,-y+1/2,z+1/2'
'-x+1/2,y+1/2,z'
'x+1/2,-y+1/2,z+1/2'
loop_
_atom_site_label
_atom_site_type_symbol
_atom_site_fract_x
_atom_site_fract_y
_atom_site_fract_z
_atom_site_occupancy
Ba1 Ba 0.000 0.032 0.000 1
Sr1 Sr 0.000 0.207 0.348 1
Cd1 Cd 0.000 0.408 0.158 1
Bi1 Bi 0.000 0.178 0.734 1
Bi2 Bi 0.000 0.428 0.792 1
```